Record 1
# RbNiAs2Pt
Theoretical powder X-ray diffraction pattern, CuKα. Input: DFT lattice parameters and positions (GGA-PBE).
Intensities are scaled so that the largest is 100.

Atomic structure:
Cell: 5.549 6.705 6.824 Å, 90.00 109.10 90.00°
Space group C2 (No. 5)
Unique sites:
Rb 0.000 0.000 0.000
Ni 0.000 0.205 0.500
As 0.121 0.496 0.341
Pt 0.000 0.798 0.500

Largest 6 diffraction maxima, low angle first, 2θ from 10° to 90°:
2θ = 13.73°, I 100.0
2θ = 30.04°, I 25.5
2θ = 30.46°, I 51.5
2θ = 42.37°, I 35.2
2θ = 48.15°, I 26.1
2θ = 50.43°, I 23.8

***

Record 2
# Be2FeIr2
Theoretical powder X-ray diffraction pattern, CuKα. Input: DFT lattice parameters and positions (GGA-PBE).
Intensities are scaled so that the largest is 100.

Atomic structure:
Cell: 6.319 6.319 2.835 Å, 90.00 90.00 90.00°
Space group P4/mbm (No. 127)
Unique sites:
Be 0.127 0.373 0.000
Fe 0.000 0.000 0.000
Ir 0.167 0.667 0.500

Largest 6 diffraction maxima, low angle first, 2θ from 10° to 90°:
2θ = 31.56°, I 26.9
2θ = 31.66°, I 85.5
2θ = 42.86°, I 31.5
2θ = 45.33°, I 100.0
2θ = 69.76°, I 20.1
2θ = 71.57°, I 20.4

***

Record 3
# InCuReW
Theoretical powder X-ray diffraction pattern, CuKα. Input: DFT lattice parameters and positions (GGA-PBE).
Intensities are scaled so that the largest is 100.

Atomic structure:
Cell: 6.335 6.335 6.335 Å, 90.00 90.00 90.00°
Space group F-43m (No. 216)
Unique sites:
In 0.000 0.000 0.000
Cu 0.250 0.250 0.250
Re 0.000 0.000 0.500
W 0.250 0.250 0.750

Largest 6 diffraction maxima, low angle first, 2θ from 10° to 90°:
2θ = 24.34°, I 13.5
2θ = 40.27°, I 100.0
2θ = 47.61°, I 7.2
2θ = 58.26°, I 16.8
2θ = 73.19°, I 33.9
2θ = 87.01°, I 11.1

***

Record 4
# Cs2Tm3Se4
Theoretical powder X-ray diffraction pattern, CuKα. Input: DFT lattice parameters and positions (GGA-PBE).
Intensities are scaled so that the largest is 100.

Atomic structure:
Cell: 7.431 11.554 15.988 Å, 90.00 90.00 90.00°
Space group Fmmm (No. 69)
Unique sites:
Cs 0.000 0.000 0.184
Tm 0.000 0.000 0.500
Tm 0.250 0.250 0.000
Se 0.000 0.178 0.379

Largest 6 diffraction maxima, low angle first, 2θ from 10° to 90°:
2θ = 11.07°, I 82.9
2θ = 18.95°, I 55.0
2θ = 21.92°, I 65.0
2θ = 31.08°, I 100.0
2θ = 36.50°, I 78.1
2θ = 44.69°, I 52.0

***

Record 5
# NdErCI
Theoretical powder X-ray diffraction pattern, CuKα. Input: DFT lattice parameters and positions (GGA-PBE).
Intensities are scaled so that the largest is 100.

Atomic structure:
Cell: 3.8024 3.8024 22.7323 Å, 90.00 90.00 120.00°
Space group R3m (No. 160, hexagonal axes)
Unique sites:
Nd 0.0000 0.0000 0.0000
Er 0.0000 0.0000 0.5531
C 0.0000 0.0000 0.2699
I 0.0000 0.0000 0.7807

Largest 6 diffraction maxima, low angle first, 2θ from 10° to 90°:
2θ = 27.37°, I 27.3
2θ = 31.40°, I 100.0
2θ = 33.60°, I 68.2
2θ = 35.54°, I 29.6
2θ = 47.84°, I 42.3
2θ = 61.00°, I 37.3

***

Record 6
# Er4In5S13
Theoretical powder X-ray diffraction pattern, CuKα. Input: DFT lattice parameters and positions (GGA-PBE).
Intensities are scaled so that the largest is 100.

Atomic structure:
Cell: 11.890 21.446 3.832 Å, 90.00 90.00 90.00°
Space group Pbam (No. 55)
Unique sites:
Er 0.018 0.176 0.000
Er 0.181 0.340 0.000
In 0.000 0.500 0.000
In 0.153 0.992 0.500
In 0.159 0.667 0.500
S 0.000 0.000 0.000
S 0.004 0.407 0.500
S 0.088 0.263 0.500
S 0.146 0.863 0.500
S 0.152 0.116 0.500
S 0.163 0.740 0.000
S 0.204 0.471 0.000

Largest 6 diffraction maxima, low angle first, 2θ from 10° to 90°:
2θ = 24.91°, I 60.3
2θ = 25.70°, I 100.0
2θ = 25.80°, I 30.2
2θ = 27.45°, I 40.9
2θ = 34.85°, I 32.9
2θ = 44.36°, I 29.0

***

Record 7
# Ni17Pb
Theoretical powder X-ray diffraction pattern, CuKα. Input: DFT lattice parameters and positions (GGA-PBE).
Intensities are scaled so that the largest is 100.

Atomic structure:
Cell: 4.9379 4.9379 31.2423 Å, 90.00 90.00 120.00°
Space group P-3m1 (No. 164)
Unique sites:
Ni 0.0000 0.0000 0.0000
Ni 0.0000 0.0000 0.1937
Ni 0.0000 0.5000 0.0000
Ni 0.0028 0.5014 0.1939
Ni 0.1660 0.3319 0.7431
Ni 0.1667 0.3333 0.9357
Ni 0.1668 0.3335 0.1293
Ni 0.3333 0.6667 0.0644
Ni 0.3333 0.6667 0.8709
Pb 0.3333 0.6667 0.2902

Largest 6 diffraction maxima, low angle first, 2θ from 10° to 90°:
2θ = 11.33°, I 25.8
2θ = 43.90°, I 28.9
2θ = 44.80°, I 100.0
2θ = 45.88°, I 29.1
2θ = 51.81°, I 46.2
2θ = 77.31°, I 27.6

***

Record 8
# Gd3Tl2Pb5
Theoretical powder X-ray diffraction pattern, CuKα. Input: DFT lattice parameters and positions (GGA-PBE).
Intensities are scaled so that the largest is 100.

Atomic structure:
Cell: 4.640 25.856 4.718 Å, 90.00 90.00 90.00°
Space group Cmmm (No. 65)
Unique sites:
Gd 0.000 0.000 0.000
Gd 0.000 0.189 0.000
Tl 0.000 0.098 0.500
Pb 0.000 0.294 0.500
Pb 0.000 0.403 0.000
Pb 0.000 0.500 0.500

Largest 6 diffraction maxima, low angle first, 2θ from 10° to 90°:
2θ = 32.12°, I 100.0
2θ = 34.69°, I 18.6
2θ = 38.15°, I 16.4
2θ = 38.82°, I 15.6
2θ = 60.57°, I 13.5
2θ = 65.19°, I 13.5

***

Record 9
# YErS2Cl2
Theoretical powder X-ray diffraction pattern, CuKα. Input: DFT lattice parameters and positions (GGA-PBE).
Intensities are scaled so that the largest is 100.

Atomic structure:
Cell: 3.977 5.349 8.285 Å, 90.00 90.00 90.00°
Space group Pmm2 (No. 25)
Unique sites:
Y 0.000 0.000 0.000
Er 0.500 0.500 0.277
S 0.000 0.500 0.053
S 0.500 0.000 0.228
Cl 0.000 0.500 0.487
Cl 0.500 0.000 0.784

Largest 6 diffraction maxima, low angle first, 2θ from 10° to 90°:
2θ = 10.68°, I 100.0
2θ = 19.76°, I 72.2
2θ = 31.18°, I 66.4
2θ = 33.51°, I 29.2
2θ = 43.33°, I 29.4
2θ = 46.42°, I 41.7

***

Record 10
# Er2Tl8Co
Theoretical powder X-ray diffraction pattern, CuKα. Input: DFT lattice parameters and positions (GGA-PBE).
Intensities are scaled so that the largest is 100.

Atomic structure:
Cell: 4.729 4.729 12.555 Å, 90.00 90.00 90.00°
Space group P4/mmm (No. 123)
Unique sites:
Er 0.000 0.000 0.198
Tl 0.000 0.500 0.000
Tl 0.000 0.500 0.379
Tl 0.500 0.500 0.188
Co 0.000 0.000 0.500

Largest 6 diffraction maxima, low angle first, 2θ from 10° to 90°:
2θ = 30.28°, I 45.3
2θ = 34.33°, I 100.0
2θ = 35.76°, I 23.9
2θ = 38.06°, I 56.9
2θ = 53.21°, I 31.3
2θ = 66.38°, I 30.1

***

Record 11
# CoGe
Theoretical powder X-ray diffraction pattern, CuKα. Input: DFT lattice parameters and positions (GGA-PBE).
Intensities are scaled so that the largest is 100.

Atomic structure:
Cell: 4.632 4.632 4.632 Å, 90.00 90.00 90.00°
Space group P2_13 (No. 198)
Unique sites:
Co 0.135 0.135 0.135
Ge 0.160 0.340 0.660

Largest 6 diffraction maxima, low angle first, 2θ from 10° to 90°:
2θ = 33.51°, I 16.2
2θ = 38.88°, I 10.6
2θ = 43.70°, I 100.0
2θ = 48.12°, I 53.5
2θ = 67.01°, I 10.0
2θ = 77.03°, I 33.3

***

Record 12
# Ho2Lu3Hg3
Theoretical powder X-ray diffraction pattern, CuKα. Input: DFT lattice parameters and positions (GGA-PBE).
Intensities are scaled so that the largest is 100.

Atomic structure:
Cell: 5.504 7.026 10.833 Å, 90.00 90.00 90.00°
Space group Amm2 (No. 38)
Unique sites:
Ho 0.000 0.000 0.000
Ho 0.500 0.000 0.363
Lu 0.000 0.000 0.544
Lu 0.500 0.244 0.617
Hg 0.000 0.219 0.268
Hg 0.500 0.000 0.864

Largest 6 diffraction maxima, low angle first, 2θ from 10° to 90°:
2θ = 30.32°, I 32.5
2θ = 32.54°, I 45.5
2θ = 34.52°, I 100.0
2θ = 36.99°, I 52.1
2θ = 45.07°, I 22.3
2θ = 59.33°, I 21.4